The following is a computed powder diffractogram of La2ErScBi4. It was derived from a DFT-relaxed cell (GGA-PBE, Alexandria), using Cu Ka.
Lines closer than 0.1° are merged.

Largest 12 diffraction maxima, sorted by position, 15 to 90 degrees two-theta:
23.98 deg, d = 3.710 Å, intensity 9
27.82 deg, d = 3.207 Å, intensity 100
39.62 deg, d = 2.275 Å, intensity 40
39.88 deg, d = 2.261 Å, intensity 37
49.11 deg, d = 1.855 Å, intensity 21
49.53 deg, d = 1.840 Å, intensity 6
57.48 deg, d = 1.603 Å, intensity 13
64.86 deg, d = 1.438 Å, intensity 19
65.21 deg, d = 1.431 Å, intensity 16
71.90 deg, d = 1.313 Å, intensity 7
72.07 deg, d = 1.311 Å, intensity 13
72.58 deg, d = 1.303 Å, intensity 5

```
La2ErScBi4
1.0
7.8152 0.0000 0.0000
0.0000 4.5509 0.0000
-2.6464 0.0000 7.4181
La Er Sc Bi
2 1 1 4
Cartesian
0.0000 0.0000 0.0000 La
-1.3232 2.2755 3.7090 La
2.5844 0.0000 3.7090 Er
3.9076 2.2755 0.0000 Sc
1.4392 2.2755 1.8628 Bi
0.1151 0.0000 5.6599 Bi
5.0537 0.0000 1.7581 Bi
3.7296 2.2755 5.5553 Bi
```

The following is a computed powder diffractogram of V8Mo2W3. It was derived from a DFT-relaxed cell (GGA-PBE, Alexandria), using Cu Ka.
Lines closer than 0.1° are merged.

Largest 12 diffraction maxima, sorted by position, 15 to 90 degrees two-theta:
19.13 deg, d = 4.640 Å, intensity 14
21.00 deg, d = 4.230 Å, intensity 11
26.26 deg, d = 3.393 Å, intensity 35
36.36 deg, d = 2.471 Å, intensity 49
41.42 deg, d = 2.180 Å, intensity 100
42.75 deg, d = 2.115 Å, intensity 13
45.40 deg, d = 1.998 Å, intensity 20
59.51 deg, d = 1.553 Å, intensity 8
65.42 deg, d = 1.427 Å, intensity 9
68.87 deg, d = 1.363 Å, intensity 33
72.70 deg, d = 1.301 Å, intensity 8
77.21 deg, d = 1.236 Å, intensity 12

```
V8Mo2W3
1.0
2.4711 1.4267 9.2810
-2.4711 1.4267 9.2810
0.0000 -2.8533 9.2810
V Mo W
8 2 3
Cartesian
0.0000 0.0000 6.1744 V
0.0000 -1.4121 11.0501 V
-1.2229 0.7061 11.0501 V
-1.2229 -0.7061 16.7928 V
1.2229 0.7061 11.0501 V
1.2229 -0.7061 16.7928 V
0.0000 1.4121 16.7928 V
0.0000 0.0000 21.6685 V
0.0000 0.0000 3.9188 Mo
0.0000 0.0000 23.9241 Mo
0.0000 0.0000 8.8256 W
0.0000 0.0000 13.9215 W
0.0000 0.0000 19.0173 W
```

The following is a computed powder diffractogram of TlCuAg2F6. It was derived from a DFT-relaxed cell (GGA-PBE, Alexandria), using Cu Ka.
Lines closer than 0.1° are merged.

Largest 12 diffraction maxima, sorted by position, 15 to 90 degrees two-theta:
17.48 deg, d = 5.072 Å, intensity 29
18.25 deg, d = 4.861 Å, intensity 31
28.51 deg, d = 3.130 Å, intensity 100
29.33 deg, d = 3.046 Å, intensity 80
29.45 deg, d = 3.033 Å, intensity 59
29.63 deg, d = 3.015 Å, intensity 91
30.15 deg, d = 2.964 Å, intensity 65
30.81 deg, d = 2.902 Å, intensity 81
41.00 deg, d = 2.201 Å, intensity 42
41.72 deg, d = 2.165 Å, intensity 31
50.43 deg, d = 1.810 Å, intensity 28
51.97 deg, d = 1.759 Å, intensity 26

```
TlCuAg2F6
1.0
5.8170 0.0000 0.0000
0.3757 6.0698 0.0000
0.0720 0.2818 8.8057
Tl Cu Ag F
2 2 4 12
Cartesian
0.0000 0.0000 0.0000 Tl
3.1324 3.1758 4.4028 Tl
0.0360 0.1409 4.4028 Cu
3.0964 3.0349 0.0000 Cu
0.3815 3.6023 6.4313 Ag
2.8543 0.7952 6.4259 Ag
3.4105 5.5565 2.3798 Ag
5.8833 2.7493 2.3744 Ag
0.7846 1.8735 4.7569 F
0.8602 0.3936 1.9778 F
1.2835 1.9411 8.0208 F
2.0143 5.4158 5.0810 F
2.1378 4.9004 8.1468 F
2.3934 3.3729 1.7366 F
3.8714 2.9787 7.0690 F
4.1269 1.4513 0.6589 F
4.2504 0.9358 3.7247 F
4.9812 4.4105 0.7849 F
5.4046 5.9580 6.8278 F
5.4802 4.4781 4.0488 F
```